[1]
Zr2Sc3Cu3: simulated powder XRD pattern (a wavelength of 1.5418 Å), based on a PBE-relaxed structure.
Peak positions follow from Bragg's law for the DFT cell and can differ from measured ones.

Cell and atoms:
Cell: 3.259 4.717 19.759 Å, 90.00 90.00 90.00°
Space group Immm (No. 71)
Unique sites:
Zr 0.000 0.000 0.228 x4
Sc 0.000 0.000 0.000 x2
Sc 0.000 0.500 0.119 x4
Cu 0.000 0.000 0.500 x2
Cu 0.000 0.500 0.388 x4

The 10 most intense peaks (5 to 70 degrees two-theta), most intense first:
- 38.18 deg, d 2.357, I 100, hkl 0 2 0
- 69.00 deg, d 1.361, I 16, hkl 1 3 4
- 36.38 deg, d 2.470, I 14, hkl 0 0 8
- 53.74 deg, d 1.706, I 9, hkl 0 2 8
- 23.19 deg, d 3.835, I 7, hkl 0 1 3
- 56.47 deg, d 1.629, I 7, hkl 2 0 0
- 37.12 deg, d 2.422, I 7, hkl 0 1 7
- 35.71 deg, d 2.514, I 4, hkl 1 0 5
- 45.57 deg, d 1.990, I 4, hkl 0 1 9
- 66.67 deg, d 1.403, I 4, hkl 1 1 12

=====

[2]
Nd5ErZn6: simulated powder XRD pattern (a wavelength of 1.5418 Å), based on a PBE-relaxed structure.
Peak positions follow from Bragg's law for the DFT cell and can differ from measured ones.

Cell and atoms:
Cell: 5.160 15.567 7.326 Å, 90.00 90.00 90.00°
Space group Cmmm (No. 65)
Unique sites:
Nd 0.000 0.000 0.000 x2
Nd 0.000 0.331 0.000 x4
Nd 0.000 0.335 0.500 x4
Er 0.000 0.000 0.500 x2
Zn 0.000 0.162 0.256 x8
Zn 0.000 0.500 0.259 x4

The 10 most intense peaks (5 to 70 degrees two-theta), most intense first:
- 34.64 deg, d 2.590, I 100, hkl 1 3 2
- 62.01 deg, d 1.497, I 21, hkl 1 9 2
- 49.83 deg, d 1.830, I 21, hkl 2 6 0
- 34.77 deg, d 2.580, I 20, hkl 2 0 0
- 24.32 deg, d 3.660, I 18, hkl 0 0 2
- 62.26 deg, d 1.491, I 14, hkl 3 3 2
- 62.16 deg, d 1.493, I 7, hkl 2 0 4
- 56.13 deg, d 1.639, I 4, hkl 1 3 4
- 42.71 deg, d 2.117, I 3, hkl 0 6 2
- 42.88 deg, d 2.109, I 3, hkl 2 0 2

=====

[3]
Tm2HfScP4: simulated powder XRD pattern (a wavelength of 1.5418 Å), based on a PBE-relaxed structure.
Peak positions follow from Bragg's law for the DFT cell and can differ from measured ones.

Cell and atoms:
Cell: 6.623 3.824 6.640 Å, 90.00 109.30 90.00°
Space group P2/m (No. 10)
Unique sites:
Tm 0.000 0.000 0.000 x1
Tm 0.500 0.500 0.000 x1
Hf 0.000 0.500 0.500 x1
Sc 0.500 0.000 0.500 x1
P 0.244 0.000 0.736 x2
P 0.252 0.500 0.263 x2

The 10 most intense peaks (5 to 70 degrees two-theta), most intense first:
- 33.09 deg, d 2.707, I 100, hkl 1 1 1
- 28.55 deg, d 3.126, I 78, hkl 0 0 2
- 47.56 deg, d 1.912, I 36, hkl 0 2 0
- 47.44 deg, d 1.917, I 36, hkl 2 0 2
- 56.41 deg, d 1.631, I 22, hkl 0 2 2
- 59.16 deg, d 1.562, I 18, hkl 4 0 0
- 56.29 deg, d 1.634, I 16, hkl 1 1 3
- 14.16 deg, d 6.257, I 15, hkl 1 0 0
- 27.33 deg, d 3.264, I 11, hkl 0 1 1
- 69.39 deg, d 1.354, I 8, hkl 2 2 2

=====

[4]
CeGe3: simulated powder XRD pattern (a wavelength of 1.5418 Å), based on a PBE-relaxed structure.
Peak positions follow from Bragg's law for the DFT cell and can differ from measured ones.

Cell and atoms:
Cell: 4.175 4.175 9.476 Å, 90.00 90.00 90.00°
Space group I4/mmm (No. 139)
Unique sites:
Ce 0.000 0.000 0.000 x2
Ge 0.000 0.000 0.500 x2
Ge 0.000 0.500 0.250 x4

The 10 most intense peaks (5 to 70 degrees two-theta), most intense first:
- 35.84 deg, d 2.506, I 100, hkl 1 1 2
- 43.34 deg, d 2.088, I 29, hkl 2 0 0
- 58.97 deg, d 1.566, I 23, hkl 2 0 4
- 37.98 deg, d 2.369, I 21, hkl 0 0 4
- 67.22 deg, d 1.393, I 16, hkl 1 1 6
- 62.97 deg, d 1.476, I 9, hkl 2 2 0
- 23.28 deg, d 3.821, I 9, hkl 1 0 1
- 18.73 deg, d 4.738, I 4, hkl 0 0 2
- 35.64 deg, d 2.519, I 3, hkl 1 0 3
- 49.77 deg, d 1.832, I 2, hkl 2 1 1

=====

[5]
MgTl2Pb6: simulated powder XRD pattern (a wavelength of 1.5418 Å), based on a PBE-relaxed structure.
Peak positions follow from Bragg's law for the DFT cell and can differ from measured ones.

Cell and atoms:
Cell: 12.230 7.053 6.688 Å, 90.00 90.04 90.00°
Space group C2/m (No. 12)
Unique sites:
Mg 0.000 0.000 0.000 x2
Tl 0.166 0.500 0.164 x4
Pb 0.088 0.264 0.682 x8
Pb 0.176 0.000 0.318 x4

The 10 most intense peaks (5 to 70 degrees two-theta), most intense first:
- 32.21 deg, d 2.779, I 100, hkl 2 2 -1
- 30.47 deg, d 2.933, I 27, hkl 2 0 -2
- 29.23 deg, d 3.056, I 24, hkl 4 0 0
- 51.82 deg, d 1.764, I 22, hkl 6 2 0
- 39.97 deg, d 2.256, I 18, hkl 4 0 -2
- 26.66 deg, d 3.344, I 16, hkl 0 0 2
- 62.34 deg, d 1.489, I 15, hkl 8 0 -1
- 28.60 deg, d 3.121, I 13, hkl 3 1 1
- 48.29 deg, d 1.885, I 12, hkl 3 1 3
- 47.86 deg, d 1.901, I 11, hkl 5 1 2

=====

[6]
Ni3Pt2: simulated powder XRD pattern (a wavelength of 1.5418 Å), based on a PBE-relaxed structure.
Peak positions follow from Bragg's law for the DFT cell and can differ from measured ones.

Cell and atoms:
Cell: 4.584 2.683 10.784 Å, 90.00 97.56 90.00°
Space group P2_1/m (No. 11)
Unique sites:
Ni 0.049 0.250 0.410 x2
Ni 0.344 0.750 0.784 x2
Ni 0.440 0.250 0.592 x2
Pt 0.160 0.750 0.219 x2
Pt 0.251 0.250 0.995 x2

The 10 most intense peaks (5 to 70 degrees two-theta), most intense first:
- 8.27 deg, d 10.690, I 100, hkl 0 0 1
- 41.53 deg, d 2.174, I 92, hkl 1 1 -2
- 48.37 deg, d 1.882, I 55, hkl 1 1 3
- 41.72 deg, d 2.165, I 45, hkl 2 0 1
- 42.27 deg, d 2.138, I 37, hkl 0 0 5
- 49.09 deg, d 1.856, I 27, hkl 2 0 -4
- 33.53 deg, d 2.673, I 20, hkl 0 0 4
- 43.71 deg, d 2.071, I 14, hkl 1 1 2
- 39.35 deg, d 2.290, I 11, hkl 1 1 -1
- 20.20 deg, d 4.395, I 10, hkl 1 0 -1

=====

[7]
Dy3Cd3In: simulated powder XRD pattern (a wavelength of 1.5418 Å), based on a PBE-relaxed structure.
Peak positions follow from Bragg's law for the DFT cell and can differ from measured ones.

Cell and atoms:
Cell: 3.574 4.880 20.886 Å, 90.00 90.00 90.00°
Space group Imm2 (No. 44)
Unique sites:
Dy 0.000 0.000 0.000 x2
Dy 0.000 0.000 0.402 x2
Dy 0.000 0.500 0.200 x2
Cd 0.000 0.000 0.557 x2
Cd 0.000 0.000 0.846 x2
Cd 0.000 0.500 0.631 x2
In 0.000 0.500 0.768 x2

The 10 most intense peaks (5 to 70 degrees two-theta), most intense first:
- 32.21 deg, d 2.779, I 100, hkl 1 1 2
- 35.26 deg, d 2.546, I 78, hkl 0 1 7
- 32.99 deg, d 2.716, I 49, hkl 1 0 5
- 36.84 deg, d 2.440, I 39, hkl 0 2 0
- 50.27 deg, d 1.815, I 30, hkl 1 2 5
- 63.62 deg, d 1.463, I 27, hkl 2 1 7
- 63.47 deg, d 1.466, I 17, hkl 1 3 2
- 62.29 deg, d 1.491, I 16, hkl 0 0 14
- 51.12 deg, d 1.787, I 15, hkl 2 0 0
- 64.65 deg, d 1.442, I 15, hkl 2 2 0